Record 1
The following is a simulated powder X-ray diffraction pattern of Sr8HgPt2. It was derived from a cell relaxed with PBE, using Cu Kα, 1.54184 Å.
Intensities are scaled so that the largest is 1000.

Main lines, low angle first (5 to 70 degrees two-theta):
2θ/deg  d/Å  I/Imax
17.59  5.042  908
18.03  4.919  1000
25.29  3.521  333
28.54  3.128  262
31.24  2.863  482
31.50  2.840  260
35.61  2.521  616
36.53  2.460  860
40.19  2.244  264
47.00  1.933  394

Cell and atoms:
Lattice parameters (Å, degrees): 9.8381 9.8381 6.2556 90.00 90.00 120.00
Fractional positions:
1 Sr 0.1639 0.3297 0.2448
2 Sr 0.1658 0.8361 0.2448
3 Sr 0.3297 0.1658 0.7552
4 Sr 0.3333 0.6667 0.7478
5 Sr 0.6667 0.3333 0.2522
6 Sr 0.6703 0.8342 0.2448
7 Sr 0.8342 0.1639 0.7552
8 Sr 0.8361 0.6703 0.7552
9 Hg 0.0000 0.0000 0.5000
10 Pt 0.3333 0.6667 0.2495
11 Pt 0.6667 0.3333 0.7505



Record 2
The following is a simulated powder X-ray diffraction pattern of SrHg3Pt3. It was derived from a cell relaxed with PBE, using Cu Kα, 1.54184 Å.
Intensities are scaled so that the largest is 1000.

Main lines, low angle first (5 to 70 degrees two-theta):
2θ/deg  d/Å  I/Imax
16.77  5.285  732
23.81  3.737  416
29.27  3.052  1000
38.07  2.364  201
41.87  2.158  660
45.40  1.998  611
48.73  1.869  433
54.93  1.671  175
57.86  1.594  150
68.79  1.365  180

Cell and atoms:
Lattice parameters (Å, degrees): 7.4747 7.4747 7.4747 90.00 90.00 90.00
Fractional positions:
1 Sr 0.0000 0.0000 0.0000
2 Sr 0.5000 0.5000 0.5000
3 Hg 0.0000 0.2500 0.5000
4 Hg 0.0000 0.7500 0.5000
5 Hg 0.2500 0.5000 0.0000
6 Hg 0.5000 0.0000 0.2500
7 Hg 0.5000 0.0000 0.7500
8 Hg 0.7500 0.5000 0.0000
9 Pt 0.0000 0.5000 0.2500
10 Pt 0.0000 0.5000 0.7500
11 Pt 0.2500 0.0000 0.5000
12 Pt 0.5000 0.2500 0.0000
13 Pt 0.5000 0.7500 0.0000
14 Pt 0.7500 0.0000 0.5000



Record 3
The following is a simulated powder X-ray diffraction pattern of Sr3Hg7Pt4. It was derived from a cell relaxed with PBE, using Cu Kα, 1.54184 Å.
Intensities are scaled so that the largest is 1000.

Main lines, low angle first (5 to 70 degrees two-theta):
2θ/deg  d/Å  I/Imax
16.95  5.232  364
21.24  4.184  263
31.59  2.832  604
32.60  2.746  1000
35.18  2.551  313
37.13  2.421  288
37.76  2.382  328
39.49  2.282  576
40.40  2.233  395
41.77  2.163  300

Cell and atoms:
Lattice parameters (Å, degrees): 8.9545 8.9545 10.4757 123.08 123.08 29.53
Fractional positions:
1 Sr 0.0000 0.0000 0.0000
2 Sr 0.3056 0.3056 0.2956
3 Sr 0.6944 0.6944 0.7044
4 Hg 0.0000 0.0000 0.5000
5 Hg 0.1643 0.1643 0.4322
6 Hg 0.3168 0.3168 0.9749
7 Hg 0.4928 0.4928 0.7154
8 Hg 0.5072 0.5072 0.2846
9 Hg 0.6832 0.6832 0.0251
10 Hg 0.8357 0.8357 0.5678
11 Pt 0.1155 0.1155 0.8231
12 Pt 0.3392 0.3392 0.7358
13 Pt 0.6608 0.6608 0.2642
14 Pt 0.8845 0.8845 0.1769



Record 4
The following is a simulated powder X-ray diffraction pattern of Sr8Hg2Pt3. It was derived from a cell relaxed with PBE, using Cu Kα, 1.54184 Å.
Intensities are scaled so that the largest is 1000.

Main lines, low angle first (5 to 70 degrees two-theta):
2θ/deg  d/Å  I/Imax
19.93  4.456  170
20.18  4.400  171
32.93  2.720  1000
33.57  2.670  197
46.79  1.941  68
47.74  1.905  144
58.78  1.571  142
58.86  1.569  73
59.60  1.551  79
59.64  1.550  73

Cell and atoms:
Lattice parameters (Å, degrees): 9.4705 5.3392 9.4926 90.00 109.98 90.00
Fractional positions:
1 Sr 0.1123 0.0000 0.3871
2 Sr 0.1278 0.5000 0.8579
3 Sr 0.3576 0.5000 0.6272
4 Sr 0.3841 0.0000 0.1162
5 Sr 0.6159 0.0000 0.8838
6 Sr 0.6424 0.5000 0.3728
7 Sr 0.8722 0.5000 0.1421
8 Sr 0.8877 0.0000 0.6129
9 Hg 0.2554 0.5000 0.2441
10 Hg 0.7446 0.5000 0.7559
11 Pt 0.0000 0.5000 0.5000
12 Pt 0.2596 0.0000 0.7599
13 Pt 0.7404 0.0000 0.2401